(1)
Calculated powder XRD pattern
Compound: BiPd4Pt4
Radiation: Cu Kα, 1.54184 Å
Structure: DFT lattice parameters and positions (PBE)
Peak positions follow from Bragg's law for the DFT cell and can differ from measured ones.

Peak list (8 most intense, 2θ = 10–90°, sorted by position)
2θ/deg, d/Å, intensity, (hkl)
38.6, 2.330, 1000, 3 0 1
44.6, 2.030, 333, 3 3 0
45.5, 1.993, 158, 0 0 2
65.0, 1.436, 109, 6 0 0
65.6, 1.422, 212, 3 3 2
78.2, 1.222, 257, 6 3 1
79.5, 1.206, 125, 3 0 3
82.9, 1.165, 112, 6 0 2

Structural model:
Cell lengths 8.613, 8.613, 3.986 Å; angles 90.00, 90.00, 90.00 degrees
Space group I4/mmm (No. 139)
Asymmetric unit:
Bi 0.000 0.000 0.000 (multiplicity 2)
Pd 0.170 0.170 0.500 (multiplicity 8)
Pt 0.000 0.338 0.000 (multiplicity 8)

***

(2)
Calculated powder XRD pattern
Compound: BiPd6Pt23
Radiation: Cu Kα, 1.54184 Å
Structure: DFT lattice parameters and positions (PBE)
Peak positions follow from Bragg's law for the DFT cell and can differ from measured ones.

Peak list (8 most intense, 2θ = 10–90°, sorted by position)
2θ/deg, d/Å, intensity, (hkl)
39.5, 2.280, 1000, 2 2 4
45.8, 1.980, 331, 4 0 0
46.2, 1.965, 157, 0 0 8
66.8, 1.400, 107, 4 4 0
67.1, 1.395, 204, 4 0 8
80.5, 1.193, 252, 6 2 4
81.1, 1.186, 116, 2 2 12
85.1, 1.140, 108, 4 4 8

Structural model:
Cell lengths 7.919, 7.919, 15.718 Å; angles 90.00, 90.00, 90.00 degrees
Space group I4/mmm (No. 139)
Asymmetric unit:
Bi 0.000 0.000 0.000 (multiplicity 2)
Pd 0.000 0.000 0.248 (multiplicity 4)
Pd 0.249 0.249 0.500 (multiplicity 8)
Pt 0.000 0.000 0.500 (multiplicity 2)
Pt 0.000 0.250 0.372 (multiplicity 16)
Pt 0.000 0.263 0.132 (multiplicity 16)
Pt 0.000 0.500 0.000 (multiplicity 4)
Pt 0.250 0.250 0.250 (multiplicity 8)

***

(3)
Calculated powder XRD pattern
Compound: Bi2Pd3Pt3
Radiation: Cu Kα, 1.54184 Å
Structure: DFT lattice parameters and positions (PBE)
Peak positions follow from Bragg's law for the DFT cell and can differ from measured ones.

Peak list (8 most intense, 2θ = 10–90°, sorted by position)
2θ/deg, d/Å, intensity, (hkl)
34.4, 2.605, 797, 2 0 2
35.5, 2.531, 844, 1 0 4
35.7, 2.514, 888, 1 1 3
41.4, 2.181, 808, 2 1 1
43.8, 2.067, 1000, 1 2 2
56.2, 1.638, 364, 1 1 6
58.4, 1.579, 308, 1 2 5
72.6, 1.302, 308, 4 0 4

Structural model:
Cell lengths 6.7926, 6.7926, 11.2174 Å; angles 90.00, 90.00, 120.00 degrees
Space group R32 (No. 155, hexagonal axes)
Asymmetric unit:
Bi 0.0000 0.0000 0.2442 (multiplicity 6)
Pd 0.0000 0.7577 0.0000 (multiplicity 9)
Pt 0.0000 0.2356 0.5000 (multiplicity 9)

***

(4)
Calculated powder XRD pattern
Compound: BiPd9Pt4
Radiation: Cu Kα, 1.54184 Å
Structure: DFT lattice parameters and positions (PBE)
Peak positions follow from Bragg's law for the DFT cell and can differ from measured ones.

Peak list (8 most intense, 2θ = 10–90°, sorted by position)
2θ/deg, d/Å, intensity, (hkl)
12.9, 6.837, 170, 1 0 0
28.0, 3.187, 226, 2 0 1
40.5, 2.228, 1000, 2 1 2
40.9, 2.204, 548, 0 0 4
71.7, 1.316, 124, 3 3 0
72.4, 1.306, 129, 5 0 2
74.3, 1.276, 113, 2 1 6
86.1, 1.129, 146, 3 3 4

Structural model:
Cell lengths 7.8946, 7.8946, 8.8059 Å; angles 90.00, 90.00, 120.00 degrees
Space group P6_3/mmc (No. 194)
Asymmetric unit:
Bi 0.3333 0.6667 0.2500 (multiplicity 2)
Pd 0.0798 0.5399 0.7500 (multiplicity 6)
Pd 0.2072 0.4144 0.0199 (multiplicity 12)
Pt 0.0000 0.0000 0.0000 (multiplicity 2)
Pt 0.1126 0.2253 0.7500 (multiplicity 6)

***

(5)
Calculated powder XRD pattern
Compound: Sn2Bi2PdPt7
Radiation: Cu Kα, 1.54184 Å
Structure: DFT lattice parameters and positions (PBE)
Peak positions follow from Bragg's law for the DFT cell and can differ from measured ones.

Peak list (8 most intense, 2θ = 10–90°, sorted by position)
2θ/deg, d/Å, intensity, (hkl)
10.9, 8.149, 453, 0 0 4
21.8, 4.074, 242, 0 0 8
32.5, 2.759, 663, 1 1 2
36.1, 2.488, 435, 1 1 6
39.0, 2.307, 375, 1 1 8
42.6, 2.124, 1000, 1 1 10
45.8, 1.979, 709, 2 0 0
82.6, 1.169, 322, 3 1 10

Structural model:
Cell lengths 3.958, 3.958, 32.596 Å; angles 90.00, 90.00, 90.00 degrees
Space group I4/mmm (No. 139)
Asymmetric unit:
Sn 0.000 0.000 0.119 (multiplicity 4)
Bi 0.000 0.000 0.287 (multiplicity 4)
Pd 0.000 0.000 0.500 (multiplicity 2)
Pt 0.000 0.000 0.000 (multiplicity 2)
Pt 0.000 0.000 0.199 (multiplicity 4)
Pt 0.000 0.500 0.063 (multiplicity 8)

***

(6)
Calculated powder XRD pattern
Compound: TcBi2PdPt
Radiation: Cu Kα, 1.54184 Å
Structure: DFT lattice parameters and positions (PBE)
Peak positions follow from Bragg's law for the DFT cell and can differ from measured ones.

Peak list (8 most intense, 2θ = 10–90°, sorted by position)
2θ/deg, d/Å, intensity, (hkl)
24.7, 3.608, 184, 1 0 1
30.2, 2.959, 1000, 1 1 1
34.7, 2.586, 649, 2 0 0
35.6, 2.519, 302, 0 0 2
49.9, 1.828, 235, 2 2 0
50.6, 1.804, 451, 2 0 2
59.4, 1.555, 306, 3 1 1
62.8, 1.480, 237, 2 2 2

Structural model:
Cell lengths 5.171, 5.171, 5.037 Å; angles 90.00, 90.00, 90.00 degrees
Space group P4/mmm (No. 123)
Asymmetric unit:
Tc 0.000 0.000 0.000 (multiplicity 1)
Bi 0.000 0.500 0.500 (multiplicity 2)
Pd 0.000 0.000 0.500 (multiplicity 1)
Pt 0.500 0.500 0.000 (multiplicity 1)

***

(7)
Calculated powder XRD pattern
Compound: Pu2Bi2Pd3
Radiation: Cu Kα, 1.54184 Å
Structure: DFT lattice parameters and positions (PBE)
Peak positions follow from Bragg's law for the DFT cell and can differ from measured ones.

Peak list (8 most intense, 2θ = 10–90°, sorted by position)
2θ/deg, d/Å, intensity, (hkl)
28.6, 3.125, 1000, 2 2 0
32.0, 2.795, 317, 3 0 1
35.2, 2.551, 317, 2 2 2
38.1, 2.362, 440, 3 2 1
40.8, 2.210, 409, 4 0 0
50.6, 1.804, 241, 4 2 2
59.1, 1.562, 218, 4 4 0
70.7, 1.332, 282, 6 2 2

Structural model:
Cell lengths 8.839, 8.839, 8.839 Å; angles 90.00, 90.00, 90.00 degrees
Space group I2_13 (No. 199)
Asymmetric unit:
Pu 0.006 0.006 0.006 (multiplicity 8)
Bi 0.200 0.300 0.700 (multiplicity 8)
Pd 0.000 0.250 0.233 (multiplicity 12)

***

(8)
Calculated powder XRD pattern
Compound: PuBi2Pd2
Radiation: Cu Kα, 1.54184 Å
Structure: DFT lattice parameters and positions (PBE)
Peak positions follow from Bragg's law for the DFT cell and can differ from measured ones.

Peak list (8 most intense, 2θ = 10–90°, sorted by position)
2θ/deg, d/Å, intensity, (hkl)
25.0, 3.561, 164, 0 0 3
26.1, 3.410, 291, 1 1 0
36.5, 2.463, 1000, 1 1 -3
37.2, 2.415, 242, 2 0 0
37.4, 2.407, 240, 0 2 0
53.8, 1.705, 171, 2 2 0
65.2, 1.432, 132, 0 2 6
66.7, 1.401, 176, 1 3 -3

Structural model:
Cell lengths 4.830, 4.814, 10.683 Å; angles 90.00, 90.13, 90.00 degrees
Space group P2_1/m (No. 11)
Asymmetric unit:
Pu 0.248 0.250 0.326 (multiplicity 2)
Bi 0.250 0.250 0.995 (multiplicity 2)
Bi 0.251 0.250 0.667 (multiplicity 2)
Pd 0.250 0.750 0.158 (multiplicity 2)
Pd 0.252 0.750 0.516 (multiplicity 2)